This entry pairs a crystal structure of NdPH5CO7 with its computed X-ray diffraction stick pattern. Radiation: Cu Kα, 1.54184 Å. Structure: DFT lattice parameters and positions (GGA-PBE).
Peak positions follow from Bragg's law for the DFT cell and can differ from measured ones.

Structural model:
```
30
Lattice="6.723 0.000 0.000 0.102 7.109 0.000 0.791 2.655 7.215" Properties=species:S:1:pos:R:3 pbc="T T T"
Nd 0.962 1.755 0.450
Nd 6.655 8.010 6.765
P 2.275 5.328 0.123
P 5.342 4.436 7.092
H 1.746 5.454 4.834
H 2.473 4.028 4.556
H 2.750 5.523 1.433
H 3.392 7.093 3.192
H 3.443 2.703 2.664
H 4.173 7.061 4.551
H 4.224 2.672 4.023
H 4.866 4.241 5.782
H 5.143 5.736 2.659
H 5.871 4.310 2.381
C 0.947 7.804 3.601
C 6.670 1.961 3.614
O 0.977 7.117 4.666
O 1.286 4.137 0.163
O 1.584 7.563 2.538
O 2.190 9.211 6.957
O 1.994 4.585 5.234
O 3.375 2.947 3.613
O 3.333 1.979 0.779
O 4.284 7.785 6.436
O 4.241 6.817 3.602
O 5.622 5.179 1.981
O 5.427 0.554 0.258
O 6.032 2.202 4.677
O 6.330 5.627 7.052
O 6.640 2.648 2.549
```

The 10 most intense peaks (2θ = 10–90°), by intensity:
d = 7.215 Å, I 100; d = 6.684 Å, I 39; d = 3.012 Å, I 29; d = 3.021 Å, I 25; d = 3.607 Å, I 25; d = 3.336 Å, I 24; d = 3.527 Å, I 22; d = 4.643 Å, I 21; d = 4.669 Å, I 18; d = 4.777 Å, I 13


This entry pairs a crystal structure of Ac3Zn3Pd8 with its computed X-ray diffraction stick pattern. Radiation: Cu Kα, 1.54184 Å. Structure: DFT lattice parameters and positions (GGA-PBE).
Peak positions follow from Bragg's law for the DFT cell and can differ from measured ones.

Structural model:
```
14
Lattice="8.130 -2.244 0.000 8.130 2.244 0.000 -4.998 0.000 7.876" Properties=species:S:1:pos:R:3 pbc="T T T"
Ac 0.000 0.000 0.000
Ac 3.219 0.000 2.644
Ac 8.043 0.000 5.231
Zn -2.499 0.000 3.938
Zn 0.283 0.000 7.831
Zn 10.978 0.000 0.045
Pd -0.090 0.000 3.047
Pd -2.094 0.000 6.572
Pd 1.951 0.000 5.846
Pd 6.440 0.000 2.464
Pd 4.821 0.000 5.412
Pd 9.310 0.000 2.030
Pd 13.356 0.000 1.304
Pd 11.351 0.000 4.829
```

The 10 most intense peaks (2θ = 10–90°), by intensity:
d = 2.680 Å, I 100; d = 2.244 Å, I 67; d = 2.602 Å, I 45; d = 2.592 Å, I 39; d = 2.554 Å, I 38; d = 2.365 Å, I 38; d = 2.342 Å, I 34; d = 3.204 Å, I 30; d = 4.042 Å, I 30; d = 3.001 Å, I 26


This entry pairs a crystal structure of In8Sn3Hg with its computed X-ray diffraction stick pattern. Radiation: Cu Kα, 1.54184 Å. Structure: DFT lattice parameters and positions (GGA-PBE).
Peak positions follow from Bragg's law for the DFT cell and can differ from measured ones.

Structural model:
```
12
Lattice="6.067 -4.476 0.000 6.067 4.476 0.000 -3.139 0.000 6.210" Properties=species:S:1:pos:R:3 pbc="T T T"
In -0.573 0.000 1.664
In 2.115 1.980 2.257
In 0.653 0.515 4.634
In 2.418 -0.971 0.874
In 6.880 1.980 3.953
In 8.341 0.515 1.576
In 6.576 -0.971 5.336
In 9.567 0.000 4.546
Sn 5.066 1.215 1.389
Sn 3.928 1.215 4.821
Sn 6.067 -1.580 0.000
Hg 4.497 -1.608 3.105
```

The 10 most intense peaks (2θ = 10–90°), by intensity:
d = 2.706 Å, I 100; d = 2.982 Å, I 83; d = 2.876 Å, I 60; d = 2.568 Å, I 59; d = 2.740 Å, I 52; d = 2.551 Å, I 47; d = 1.586 Å, I 35; d = 2.339 Å, I 30; d = 2.392 Å, I 29; d = 2.300 Å, I 28


This entry pairs a crystal structure of Cs2Sn2Pb3 with its computed X-ray diffraction stick pattern. Radiation: Cu Kα, 1.54184 Å. Structure: DFT lattice parameters and positions (GGA-PBE).
Peak positions follow from Bragg's law for the DFT cell and can differ from measured ones.

Structural model:
```
7
Lattice="7.546 -2.295 0.000 7.546 2.295 0.000 -4.668 0.000 8.276" Properties=species:S:1:pos:R:3 pbc="T T T"
Cs 0.608 0.000 2.170
Cs 9.817 0.000 6.106
Sn -0.937 0.000 5.911
Sn 11.362 0.000 2.364
Pb 5.020 0.000 0.595
Pb 5.212 0.000 4.138
Pb 5.404 0.000 7.681
```

The 10 most intense peaks (2θ = 10–90°), by intensity:
d = 3.389 Å, I 100; d = 2.776 Å, I 81; d = 7.127 Å, I 61; d = 3.156 Å, I 34; d = 3.104 Å, I 31; d = 2.295 Å, I 31; d = 2.518 Å, I 28; d = 3.286 Å, I 22; d = 2.641 Å, I 21; d = 1.882 Å, I 18


This entry pairs a crystal structure of Ce2CoSn with its computed X-ray diffraction stick pattern. Radiation: Cu Kα, 1.54184 Å. Structure: DFT lattice parameters and positions (GGA-PBE).
Peak positions follow from Bragg's law for the DFT cell and can differ from measured ones.

Structural model:
```
16
Lattice="6.680 0.000 0.000 0.000 4.631 0.000 0.000 0.000 12.121" Properties=species:S:1:pos:R:3 pbc="T T T"
Ce 0.663 1.158 2.294
Ce 1.161 1.158 6.936
Ce 2.179 3.473 0.876
Ce 2.676 3.473 8.354
Ce 4.003 1.158 3.766
Ce 4.501 1.158 11.245
Ce 5.519 3.473 5.184
Ce 6.016 3.473 9.827
Co 0.659 1.158 4.566
Co 2.681 3.473 10.627
Co 3.999 1.158 1.494
Co 6.021 3.473 7.554
Sn 1.334 1.158 10.667
Sn 2.006 3.473 4.607
Sn 4.673 1.158 7.514
Sn 5.346 3.473 1.454
```

The 10 most intense peaks (2θ = 10–90°), by intensity:
d = 2.709 Å, I 100; d = 3.045 Å, I 56; d = 2.316 Å, I 48; d = 2.770 Å, I 33; d = 2.644 Å, I 33; d = 3.030 Å, I 21; d = 2.574 Å, I 19; d = 2.250 Å, I 19; d = 1.934 Å, I 18; d = 1.784 Å, I 16


This entry pairs a crystal structure of B5C3 with its computed X-ray diffraction stick pattern. Radiation: Cu Kα, 1.54184 Å. Structure: DFT lattice parameters and positions (GGA-PBE).
Peak positions follow from Bragg's law for the DFT cell and can differ from measured ones.

Structural model:
```
8
Lattice="2.758 0.000 0.000 0.000 2.758 0.000 0.000 0.000 7.653" Properties=species:S:1:pos:R:3 pbc="T T T"
B 0.000 0.000 0.000
B 0.000 1.379 4.574
B 1.379 0.000 3.079
B 1.379 1.379 1.603
B 1.379 1.379 6.049
C 0.000 0.000 3.826
C 0.000 1.379 0.949
C 1.379 0.000 6.704
```

The 10 most intense peaks (2θ = 10–90°), by intensity:
d = 2.237 Å, I 100; d = 1.366 Å, I 21; d = 1.174 Å, I 17; d = 1.379 Å, I 16; d = 2.551 Å, I 10; d = 3.826 Å, I 7; d = 2.594 Å, I 6; d = 7.653 Å, I 5; d = 1.158 Å, I 4; d = 1.338 Å, I 3


This entry pairs a crystal structure of LaYTmIn with its computed X-ray diffraction stick pattern. Radiation: Cu Kα, 1.54184 Å. Structure: DFT lattice parameters and positions (GGA-PBE).
Peak positions follow from Bragg's law for the DFT cell and can differ from measured ones.

Structural model:
```
4
Lattice="0.000 3.914 3.914 3.914 0.000 3.914 3.914 3.914 0.000" Properties=species:S:1:pos:R:3 pbc="T T T"
La 0.000 0.000 0.000
Y 5.871 5.871 5.871
Tm 3.914 3.914 3.914
In 1.957 1.957 1.957
```

The 10 most intense peaks (2θ = 10–90°), by intensity:
d = 2.768 Å, I 100; d = 1.598 Å, I 38; d = 1.957 Å, I 18; d = 1.238 Å, I 16; d = 1.384 Å, I 12; d = 3.914 Å, I 4; d = 1.130 Å, I 4; d = 1.750 Å, I 2; d = 2.260 Å, I 1; d = 4.520 Å, I 1


This entry pairs a crystal structure of Li2HCl4 with its computed X-ray diffraction stick pattern. Radiation: Cu Kα, 1.54184 Å. Structure: DFT lattice parameters and positions (GGA-PBE).
Peak positions follow from Bragg's law for the DFT cell and can differ from measured ones.

Structural model:
```
14
Lattice="8.326 0.000 0.000 0.000 5.130 0.000 -2.493 0.000 7.954" Properties=species:S:1:pos:R:3 pbc="T T T"
Li -0.392 1.282 1.278
Li 2.424 1.282 1.864
Li 3.410 3.847 6.090
Li 6.225 3.847 6.676
H 0.818 1.282 6.873
H 5.016 3.847 1.082
Cl -1.056 1.282 7.616
Cl 0.758 2.574 3.041
Cl 0.758 5.120 3.041
Cl 2.096 1.282 6.469
Cl 3.737 3.847 1.485
Cl 5.076 0.010 4.914
Cl 5.076 2.555 4.914
Cl 6.889 3.847 0.339
```

The 10 most intense peaks (2θ = 10–90°), by intensity:
d = 3.193 Å, I 100; d = 2.441 Å, I 59; d = 4.310 Å, I 49; d = 3.357 Å, I 46; d = 4.075 Å, I 46; d = 3.555 Å, I 43; d = 2.171 Å, I 37; d = 2.649 Å, I 32; d = 4.932 Å, I 32; d = 6.714 Å, I 30